Structure and theoretical XRD peak list of Li3Mn2CoO6 (a cell relaxed with PBE+U; Cu Kα, 1.54184 Å).
Lines closer than 0.1° are merged.

a b c (Å): 2.877 9.026 9.823
angles (deg): 116.86 91.23 90.10
Space group P-1 (No. 2)
Asymmetric unit:
Li  0.000  0.000  0.000 x1
Li  0.000  0.343  0.668 x2
Li  0.497  0.657  0.833 x2
Li  0.500  0.000  0.500 x1
Mn  0.001  0.172  0.330 x2
Mn  0.500  0.171  0.830 x2
Co  0.000  0.500  0.000 x1
Co  0.500  0.500  0.500 x1
O  0.004  0.909  0.323 x2
O  0.007  0.249  0.983 x2
O  0.032  0.424  0.343 x2
O  0.470  0.577  0.156 x2
O  0.491  0.750  0.517 x2
O  0.497  0.091  0.178 x2

The 8 most intense peaks (2θ from 5° to 70°), by angle:
| two_theta | intensity |
| --- | --- |
| 18.16 | 100 |
| 33.39 | 20 |
| 35.81 | 14 |
| 36.52 | 16 |
| 39.96 | 34 |
| 43.62 | 26 |
| 44.77 | 23 |
| 64.82 | 10 |

Structure and theoretical XRD peak list of Li2VOF4 (a cell relaxed with PBE+U; Cu Kα, 1.54184 Å).
Lines closer than 0.1° are merged.

a b c (Å): 5.448 7.203 9.607
angles (deg): 90.00 90.00 90.00
Space group P2_12_12_1 (No. 19)
Asymmetric unit:
Li  0.001  0.201  0.220 x4
Li  0.034  0.625  0.572 x4
V  0.027  0.052  0.552 x4
O  0.247  0.100  0.079 x4
F  0.006  0.648  0.765 x4
F  0.014  0.489  0.148 x4
F  0.227  0.266  0.498 x4
F  0.249  0.610  0.411 x4

The 8 most intense peaks (2θ from 5° to 70°), by angle:
| two_theta | intensity |
| --- | --- |
| 18.47 | 37 |
| 22.24 | 23 |
| 22.46 | 100 |
| 29.74 | 24 |
| 39.55 | 19 |
| 42.67 | 12 |
| 50.36 | 13 |
| 51.63 | 18 |

Structure and theoretical XRD peak list of KNa2FeO3 (a cell relaxed with PBE+U; Cu Kα, 1.54184 Å).
Lines closer than 0.1° are merged.

a b c (Å): 6.624 6.370 10.323
angles (deg): 90.00 90.00 90.00
Space group Pnma (No. 62)
Asymmetric unit:
K  0.162  0.250  0.025 x4
Na  0.007  0.006  0.730 x8
Fe  0.170  0.250  0.492 x4
O  0.000  0.000  0.500 x4
O  0.167  0.750  0.141 x4
O  0.206  0.750  0.829 x4

The 8 most intense peaks (2θ from 5° to 70°), by angle:
| two_theta | intensity |
| --- | --- |
| 17.18 | 58 |
| 21.18 | 55 |
| 32.11 | 37 |
| 33.05 | 94 |
| 34.76 | 51 |
| 35.14 | 100 |
| 39.24 | 81 |
| 46.85 | 43 |

Structure and theoretical XRD peak list of MoO2 (a cell relaxed with PBE+U; Cu Kα, 1.54184 Å).
Lines closer than 0.1° are merged.

a b c (Å): 3.117 5.738 10.702
angles (deg): 90.00 90.00 90.00
Space group Cmcm (No. 63)
Asymmetric unit:
Mo  0.000  0.000  0.000 x4
O  0.000  0.335  0.090 x8

The 8 most intense peaks (2θ from 5° to 70°), by angle:
| two_theta | intensity |
| --- | --- |
| 16.57 | 100 |
| 32.70 | 19 |
| 35.50 | 19 |
| 36.87 | 34 |
| 46.41 | 12 |
| 47.51 | 23 |
| 59.27 | 16 |
| 62.08 | 16 |